The following is a simulated XRD peak list of La7DyEr3. It was derived from a cell relaxed with GGA-PBE, using Cu Kα (λ = 1.5418 Å).
Neutral-atom scattering factors, no anomalous dispersion.

Structural model:
```
La7DyEr3
1.0
7.0921 0.0000 0.0000
-3.3318 9.6448 0.0000
-1.8081 -3.7794 11.3138
La Dy Er
14 2 6
Direct
0.0000 0.0000 0.0000
0.0215 0.8511 0.2394
0.0561 0.5755 0.0049
0.1417 0.3004 0.7995
0.2213 0.9739 0.7610
0.3182 0.4698 0.2116
0.3804 0.4320 0.5162
0.4788 0.9028 0.0413
0.5642 0.8911 0.3449
0.6061 0.3068 0.7484
0.6878 0.9810 0.7275
0.7853 0.7281 0.5068
0.8395 0.5065 0.2662
0.8712 0.3685 0.5332
0.3064 0.6478 0.7661
0.9335 0.1806 0.2696
0.1753 0.0725 0.5101
0.2506 0.7247 0.5033
0.4371 0.1790 0.2717
0.5931 0.5887 0.0046
0.6432 0.2376 0.0094
0.8143 0.6646 0.7713
```

Most intense lines, 5° ≤ 2θ ≤ 70°, sorted by position:
| 2theta | intensity | h k l |
| --- | --- | --- |
| 28.4 | 19 | 1 -3 2 |
| 30.3 | 15 | 1 0 3 |
| 30.5 | 34 | 2 0 1 |
| 31.0 | 100 | 2 1 -1 |
| 31.3 | 75 | 0 3 -3 |
| 31.5 | 52 | 2 0 -3 |
| 31.6 | 74 | 0 0 4 |
| 31.7 | 83 | 2 -2 2 |
| 32.7 | 69 | 0 3 1 |
| 46.5 | 15 | 2 1 3 |
| 51.6 | 26 | -4 2 1 |
| 57.4 | 16 | 0 6 -2 |